Computed PXRD pattern of Sr4TlCd3 for Cu Kα (λ = 1.5418 Å), from the GGA-PBE geometry in Alexandria.

Lattice parameters (Å, degrees): 17.1345 5.7866 5.7865 90.00 109.67 90.00
Space group C2/m (No. 12)
Asymmetric unit:
Sr: 0.1248 0.0000 0.1248 x4
Sr: 0.1248 0.5000 0.6248 x4
Tl: 0.0000 0.0000 0.5000 x2
Cd: 0.0000 0.5000 0.0000 x2
Cd: 0.2498 0.0000 0.7498 x4

Top 10 peaks for 2θ = 15–90°, in order of falling intensity:
2θ (°), d/Å, I/Imax
31.14, 2.873, 100
30.91, 2.893, 51
55.11, 1.666, 39
44.27, 2.046, 19
55.53, 1.655, 14
64.92, 1.436, 12
89.77, 1.092, 10
44.94, 2.017, 10
73.14, 1.294, 8
73.26, 1.292, 8


Computed PXRD pattern of SrTmCd4 for Cu Kα (λ = 1.5418 Å), from the GGA-PBE geometry in Alexandria.

Lattice parameters (Å, degrees): 3.5309 5.0442 8.8243 90.00 90.00 90.00
Space group Pmmm (No. 47)
Asymmetric unit:
Sr: 0.0000 0.0000 0.0000 x1
Tm: 0.0000 0.5000 0.5000 x1
Cd: 0.5000 0.0000 0.3406 x2
Cd: 0.5000 0.5000 0.1764 x2

Top 10 peaks for 2θ = 15–90°, in order of falling intensity:
2θ (°), d/Å, I/Imax
32.54, 2.751, 100
35.32, 2.541, 57
35.60, 2.522, 28
48.95, 1.861, 21
64.24, 1.450, 19
61.55, 1.507, 11
62.03, 1.496, 10
48.67, 1.871, 10
63.76, 1.460, 10
64.42, 1.446, 10


Computed PXRD pattern of Sr3TmCd4 for Cu Kα (λ = 1.5418 Å), from the GGA-PBE geometry in Alexandria.

Lattice parameters (Å, degrees): 3.9167 3.9167 16.1684 90.00 90.00 90.00
Space group P4/mmm (No. 123)
Asymmetric unit:
Sr: 0.0000 0.0000 0.0000 x1
Sr: 0.0000 0.0000 0.2618 x2
Tm: 0.0000 0.0000 0.5000 x1
Cd: 0.5000 0.5000 0.1308 x2
Cd: 0.5000 0.5000 0.3975 x2

Top 10 peaks for 2θ = 15–90°, in order of falling intensity:
2θ (°), d/Å, I/Imax
31.81, 2.813, 100
32.32, 2.770, 53
57.33, 1.607, 36
46.36, 1.958, 19
56.36, 1.633, 14
76.99, 1.239, 8
66.48, 1.406, 8
76.71, 1.242, 8
44.85, 2.021, 7
67.66, 1.385, 6


Computed PXRD pattern of SrTm3Cd4 for Cu Kα (λ = 1.5418 Å), from the GGA-PBE geometry in Alexandria.

Lattice parameters (Å, degrees): 5.3163 5.3163 7.6126 90.00 90.00 90.00
Space group P4/mmm (No. 123)
Asymmetric unit:
Sr: 0.0000 0.0000 0.0000 x1
Tm: 0.0000 0.0000 0.5000 x1
Tm: 0.5000 0.5000 0.0000 x1
Tm: 0.5000 0.5000 0.5000 x1
Cd: 0.0000 0.5000 0.2666 x4

Top 10 peaks for 2θ = 15–90°, in order of falling intensity:
2θ (°), d/Å, I/Imax
33.50, 2.675, 100
33.72, 2.658, 50
60.17, 1.538, 36
48.43, 1.880, 18
59.76, 1.547, 17
70.40, 1.337, 11
47.79, 1.903, 9
80.86, 1.189, 8
80.74, 1.190, 8
79.78, 1.202, 7